Entry 1:
Diffraction record for Pm6Pr8Al. The powder diffractogram is computed, not measured: it uses a DFT-relaxed cell (GGA-PBE, Alexandria) and a wavelength of 1.5418 Å.
No peak broadening, texture or thermal motion is included.

Atomic structure:
```
Pm6Pr8Al
1.0
9.514 0.000 0.000
-4.757 8.239 0.000
0.000 0.000 6.620
Pm Pr Al
6 8 1
Direct
0.095 0.647 0.170
0.353 0.448 0.170
0.448 0.095 0.830
0.552 0.905 0.170
0.647 0.552 0.830
0.905 0.353 0.830
0.043 0.779 0.689
0.221 0.265 0.689
0.265 0.043 0.311
0.333 0.667 0.642
0.667 0.333 0.358
0.735 0.957 0.689
0.779 0.735 0.311
0.957 0.221 0.311
0.000 0.000 0.000
```

Principal peaks in the range 2θ from 10° to 90°, in order of rising 2θ:
| Position (°2θ) | I_rel |
| --- | --- |
| 25.47 | 9.9 |
| 26.93 | 13.8 |
| 28.67 | 27.6 |
| 29.07 | 16.4 |
| 31.75 | 100.0 |
| 32.97 | 25.4 |
| 39.74 | 8.5 |
| 50.19 | 8.7 |
| 50.75 | 26.5 |
| 61.15 | 11.8 |



Entry 2:
Diffraction record for PmPr3Al8. The powder diffractogram is computed, not measured: it uses a DFT-relaxed cell (GGA-PBE, Alexandria) and a wavelength of 1.5418 Å.
No peak broadening, texture or thermal motion is included.

Atomic structure:
```
PmPr3Al8
1.0
2.849 1.645 9.317
-2.849 1.645 9.317
0.000 -3.290 9.317
Pm Pr Al
1 3 8
Direct
0.000 0.000 0.000
0.375 0.375 0.375
0.500 0.500 0.500
0.875 0.875 0.875
0.188 0.188 0.188
0.437 0.937 0.937
0.438 0.438 0.938
0.438 0.938 0.438
0.687 0.687 0.687
0.937 0.437 0.937
0.937 0.937 0.437
0.938 0.438 0.438
```

Principal peaks in the range 2θ from 10° to 90°, in order of rising 2θ:
| Position (°2θ) | I_rel |
| --- | --- |
| 19.07 | 57.0 |
| 31.38 | 96.9 |
| 36.98 | 100.0 |
| 49.26 | 15.0 |
| 55.86 | 37.8 |
| 59.58 | 33.0 |
| 65.49 | 21.9 |
| 68.90 | 10.9 |
| 74.42 | 16.1 |
| 77.66 | 11.4 |



Entry 3:
Diffraction record for Pm3Pr3Al2Tl. The powder diffractogram is computed, not measured: it uses a DFT-relaxed cell (GGA-PBE, Alexandria) and a wavelength of 1.5418 Å.
No peak broadening, texture or thermal motion is included.

Atomic structure:
```
Pm3Pr3Al2Tl
1.0
9.087 0.000 0.000
-4.543 7.869 0.000
0.000 0.000 3.800
Pm Pr Al Tl
3 3 2 1
Direct
0.000 0.389 0.000
0.389 0.000 0.000
0.611 0.611 0.000
0.000 0.708 0.500
0.292 0.292 0.500
0.708 0.000 0.500
0.333 0.667 0.500
0.667 0.333 0.500
0.000 0.000 0.000
```

Principal peaks in the range 2θ from 10° to 90°, in order of rising 2θ:
| Position (°2θ) | I_rel |
| --- | --- |
| 11.24 | 26.2 |
| 30.04 | 27.9 |
| 30.67 | 100.0 |
| 32.76 | 48.5 |
| 34.18 | 61.9 |
| 38.43 | 16.8 |
| 46.58 | 20.4 |
| 56.43 | 31.1 |
| 60.13 | 24.4 |
| 64.04 | 15.6 |



Entry 4:
Diffraction record for PmPrTmAl. The powder diffractogram is computed, not measured: it uses a DFT-relaxed cell (GGA-PBE, Alexandria) and a wavelength of 1.5418 Å.
No peak broadening, texture or thermal motion is included.

Atomic structure:
```
PmPrTmAl
1.0
3.547 0.000 0.000
0.000 3.547 0.000
0.000 0.000 9.269
Pm Pr Tm Al
1 1 1 1
Direct
0.000 0.000 0.000
0.500 0.500 0.304
0.000 0.000 0.584
0.500 0.500 0.783
```

Principal peaks in the range 2θ from 10° to 90°, in order of rising 2θ:
| Position (°2θ) | I_rel |
| --- | --- |
| 26.91 | 30.5 |
| 28.90 | 18.7 |
| 31.77 | 100.0 |
| 35.80 | 43.9 |
| 46.64 | 20.3 |
| 51.53 | 15.5 |
| 53.86 | 12.0 |
| 55.97 | 18.0 |
| 61.81 | 29.7 |
| 79.52 | 12.9 |



Entry 5:
Diffraction record for PmPrAlZn. The powder diffractogram is computed, not measured: it uses a DFT-relaxed cell (GGA-PBE, Alexandria) and a wavelength of 1.5418 Å.
No peak broadening, texture or thermal motion is included.

Atomic structure:
```
PmPrAlZn
1.0
3.674 0.000 0.000
0.000 3.674 0.000
0.000 0.000 7.563
Pm Pr Al Zn
1 1 1 1
Direct
0.000 0.000 0.000
0.000 0.000 0.492
0.500 0.500 0.751
0.500 0.500 0.237
```

Principal peaks in the range 2θ from 10° to 90°, in order of rising 2θ:
| Position (°2θ) | I_rel |
| --- | --- |
| 23.53 | 15.4 |
| 24.22 | 28.6 |
| 34.02 | 100.0 |
| 34.52 | 48.3 |
| 42.20 | 13.4 |
| 48.12 | 9.2 |
| 49.62 | 17.2 |
| 60.56 | 18.4 |
| 61.53 | 35.5 |
| 71.62 | 11.1 |



Entry 6:
Diffraction record for PmAl2Pt. The powder diffractogram is computed, not measured: it uses a DFT-relaxed cell (GGA-PBE, Alexandria) and a wavelength of 1.5418 Å.
No peak broadening, texture or thermal motion is included.

Atomic structure:
```
PmAl2Pt
1.0
15.921 0.000 0.000
0.000 6.982 0.000
0.000 0.000 5.785
Pm Al Pt
8 16 8
Direct
0.105 0.250 0.239
0.141 0.750 0.017
0.359 0.250 0.517
0.395 0.750 0.739
0.605 0.250 0.261
0.641 0.750 0.483
0.859 0.250 0.983
0.895 0.750 0.761
0.040 0.057 0.728
0.040 0.443 0.728
0.212 0.556 0.525
0.212 0.944 0.525
0.288 0.056 0.025
0.288 0.444 0.025
0.460 0.557 0.228
0.460 0.943 0.228
0.540 0.057 0.772
0.540 0.443 0.772
0.712 0.556 0.975
0.712 0.944 0.975
0.788 0.056 0.475
0.788 0.444 0.475
0.960 0.557 0.272
0.960 0.943 0.272
0.072 0.750 0.503
0.180 0.250 0.761
0.320 0.750 0.261
0.428 0.250 0.003
0.572 0.750 0.997
0.680 0.250 0.739
0.820 0.750 0.239
0.928 0.250 0.497
```

Principal peaks in the range 2θ from 10° to 90°, in order of rising 2θ:
| Position (°2θ) | I_rel |
| --- | --- |
| 22.34 | 17.9 |
| 22.88 | 18.1 |
| 25.51 | 57.7 |
| 25.76 | 14.3 |
| 34.16 | 23.4 |
| 34.63 | 24.1 |
| 35.43 | 100.0 |
| 37.64 | 19.2 |
| 39.53 | 16.7 |
| 51.70 | 27.9 |